[1]
BaSr2Sn3O9: theoretical X-ray powder pattern (a wavelength of 1.5418 Å), based on a crystal structure in the Materials Project, relaxed with PBE.

Largest 10 diffraction maxima, sorted by position, 15 to 90 degrees two-theta:
2θ (°), I (rel.)
30.43, 19
30.62, 100
43.70, 25
44.02, 11
54.20, 18
54.44, 17
54.56, 9
63.74, 11
72.19, 11
88.62, 12

Structure:
Cell lengths 5.8401, 5.8401, 14.2850 Å; angles 90.20, 90.20, 60.40 degrees
Fractional coordinates of all 30 atoms:
Ba1 0.1669 0.1669 0.3330
Ba2 0.8331 0.8331 0.6670
Sr1 0.1543 0.1786 0.8352
Sr2 0.4890 0.5110 0.5000
Sr3 0.5054 0.4946 0.0000
Sr4 0.8214 0.8457 0.1648
Sn1 0.1645 0.1683 0.0817
Sn2 0.1651 0.1681 0.5843
Sn3 0.4971 0.5021 0.2474
Sn4 0.4979 0.5029 0.7526
Sn5 0.8319 0.8349 0.4157
Sn6 0.8317 0.8355 0.9183
O1 0.0306 0.5163 0.5081
O2 0.0750 0.9250 0.0000
O3 0.1474 0.6320 0.8267
O4 0.1943 0.6739 0.3461
O5 0.2559 0.4118 0.1637
O6 0.3261 0.8057 0.6539
O7 0.3680 0.8526 0.1733
O8 0.3793 0.2881 0.6683
O9 0.4837 0.9694 0.4919
O10 0.5259 0.0371 0.0136
O11 0.5882 0.7441 0.8363
O12 0.6602 0.1395 0.3176
O13 0.6970 0.1933 0.8477
O14 0.7119 0.6207 0.3317
O15 0.8067 0.3030 0.1523
O16 0.8605 0.3398 0.6824
O17 0.9298 0.0702 0.5000
O18 0.9629 0.4741 0.9864

---

[2]
BaSr3Sn4O12: theoretical X-ray powder pattern (a wavelength of 1.5418 Å), based on a crystal structure in the Materials Project, relaxed with PBE.

Largest 10 diffraction maxima, sorted by position, 15 to 90 degrees two-theta:
2θ (°), I (rel.)
30.51, 100
30.82, 53
43.22, 17
44.09, 15
44.20, 15
54.02, 22
54.56, 22
54.66, 22
63.49, 20
71.39, 10

Structure:
Cell lengths 5.7949, 8.3736, 5.8098 Å; angles 90.00, 90.14, 90.00 degrees
Fractional coordinates of all 20 atoms:
Ba1 0.0000 0.0000 0.0000
Sr1 0.4977 0.5000 0.5122
Sr2 0.5015 0.0000 0.4979
Sr3 0.9969 0.5000 0.0082
Sn1 0.0007 0.2518 0.5036
Sn2 0.0007 0.7482 0.5036
Sn3 0.5003 0.2520 0.0035
Sn4 0.5003 0.7480 0.0035
O1 0.0124 0.0000 0.5041
O2 0.2084 0.2658 0.7962
O3 0.2084 0.7342 0.7962
O4 0.2968 0.2545 0.3008
O5 0.2968 0.7455 0.3008
O6 0.4914 0.0000 0.0068
O7 0.5148 0.5000 0.9997
O8 0.7035 0.2429 0.7080
O9 0.7035 0.7571 0.7080
O10 0.7933 0.2538 0.2117
O11 0.7933 0.7462 0.2117
O12 0.9877 0.5000 0.5026

---

[3]
Ba4SrSn5O15: theoretical X-ray powder pattern (a wavelength of 1.5418 Å), based on a crystal structure in the Materials Project, relaxed with PBE.

Largest 9 diffraction maxima, sorted by position, 15 to 90 degrees two-theta:
2θ (°), I (rel.)
21.27, 1
30.26, 100
37.29, 2
43.32, 31
53.75, 41
62.94, 20
71.41, 19
79.49, 7
87.35, 23

Structure:
Cell lengths 4.1771, 4.1771, 20.8840 Å; angles 90.00, 90.00, 90.00 degrees
Fractional coordinates of all 25 atoms:
Ba1 0.0000 0.0000 0.1000
Ba2 0.0000 0.0000 0.3003
Ba3 0.0000 0.0000 0.6997
Ba4 0.0000 0.0000 0.9000
Sr1 0.0000 0.0000 0.5000
Sn1 0.5000 0.5000 0.0000
Sn2 0.5000 0.5000 0.2001
Sn3 0.5000 0.5000 0.4007
Sn4 0.5000 0.5000 0.5993
Sn5 0.5000 0.5000 0.7999
O1 0.0000 0.5000 0.0000
O2 0.0000 0.5000 0.2000
O3 0.0000 0.5000 0.4017
O4 0.0000 0.5000 0.5983
O5 0.0000 0.5000 0.8000
O6 0.5000 0.0000 0.0000
O7 0.5000 0.0000 0.2000
O8 0.5000 0.0000 0.4017
O9 0.5000 0.0000 0.5983
O10 0.5000 0.0000 0.8000
O11 0.5000 0.5000 0.1000
O12 0.5000 0.5000 0.3003
O13 0.5000 0.5000 0.5000
O14 0.5000 0.5000 0.6997
O15 0.5000 0.5000 0.9000

---

[4]
Ba4SrSn5O15: theoretical X-ray powder pattern (a wavelength of 1.5418 Å), based on a crystal structure in the Materials Project, relaxed with PBE.

Largest 9 diffraction maxima, sorted by position, 15 to 90 degrees two-theta:
2θ (°), I (rel.)
21.28, 1
30.27, 100
37.30, 2
43.34, 31
53.77, 41
62.96, 20
71.44, 19
79.52, 7
87.39, 23

Structure:
Cell lengths 12.5252, 12.5252, 12.5252 Å; angles 27.27, 27.27, 27.27 degrees
Fractional coordinates of all 25 atoms:
Ba1 0.1001 0.1001 0.1001
Ba2 0.3000 0.3000 0.3000
Ba3 0.7000 0.7000 0.7000
Ba4 0.8999 0.8999 0.8999
Sr1 0.5000 0.5000 0.5000
Sn1 0.0000 0.0000 0.0000
Sn2 0.1999 0.1999 0.1999
Sn3 0.4002 0.4002 0.4002
Sn4 0.5998 0.5998 0.5998
Sn5 0.8001 0.8001 0.8001
O1 0.0000 0.0000 0.5000
O2 0.0000 0.5000 0.0000
O3 0.1021 0.5996 0.5996
O4 0.2001 0.2001 0.6998
O5 0.2001 0.6998 0.2001
O6 0.3002 0.7999 0.7999
O7 0.4004 0.4004 0.8979
O8 0.4004 0.8979 0.4004
O9 0.5000 0.0000 0.0000
O10 0.5996 0.1021 0.5996
O11 0.5996 0.5996 0.1021
O12 0.6998 0.2001 0.2001
O13 0.7999 0.3002 0.7999
O14 0.7999 0.7999 0.3002
O15 0.8979 0.4004 0.4004

---

[5]
BaSrTbSnO6: theoretical X-ray powder pattern (a wavelength of 1.5418 Å), based on a crystal structure in the Materials Project, relaxed with PBE.

Largest 10 diffraction maxima, sorted by position, 15 to 90 degrees two-theta:
2θ (°), I (rel.)
17.95, 1
20.76, 4
29.52, 100
42.23, 29
47.51, 2
52.37, 44
61.26, 18
69.45, 19
77.22, 6
84.75, 23

Structure:
Cell lengths 8.5547, 8.5578, 8.5659 Å; angles 90.00, 90.00, 90.00 degrees
Fractional coordinates of all 40 atoms:
Ba1 0.0000 0.0000 0.0000
Ba2 0.0000 0.0000 0.5000
Ba3 0.5000 0.0000 0.0000
Ba4 0.5000 0.5000 0.5000
Sr1 0.0000 0.5000 0.0000
Sr2 0.0000 0.5000 0.5000
Sr3 0.5000 0.0000 0.5000
Sr4 0.5000 0.5000 0.0000
Tb1 0.2501 0.2527 0.7488
Tb2 0.2501 0.7473 0.2512
Tb3 0.7499 0.2527 0.2512
Tb4 0.7499 0.7473 0.7488
Sn1 0.2504 0.2533 0.2511
Sn2 0.2504 0.7467 0.7489
Sn3 0.7496 0.2533 0.7489
Sn4 0.7496 0.7467 0.2511
O1 0.0102 0.2820 0.2189
O2 0.0102 0.7180 0.7811
O3 0.2162 0.2868 0.4899
O4 0.2162 0.7132 0.5101
O5 0.2281 0.0109 0.2718
O6 0.2281 0.9891 0.7282
O7 0.2738 0.2282 0.0104
O8 0.2738 0.7718 0.9896
O9 0.2859 0.4907 0.2153
O10 0.2859 0.5093 0.7847
O11 0.4899 0.2204 0.2862
O12 0.4899 0.7796 0.7138
O13 0.5101 0.2204 0.7138
O14 0.5101 0.7796 0.2862
O15 0.7141 0.4907 0.7847
O16 0.7141 0.5093 0.2153
O17 0.7262 0.2282 0.9896
O18 0.7262 0.7718 0.0104
O19 0.7719 0.0109 0.7282
O20 0.7719 0.9891 0.2718
O21 0.7838 0.2868 0.5101
O22 0.7838 0.7132 0.4899
O23 0.9898 0.2820 0.7811
O24 0.9898 0.7180 0.2189

---

[6]
BaSrTbSnO6: theoretical X-ray powder pattern (a wavelength of 1.5418 Å), based on a crystal structure in the Materials Project, relaxed with PBE.

Largest 10 diffraction maxima, sorted by position, 15 to 90 degrees two-theta:
2θ (°), I (rel.)
17.87, 3
20.66, 5
29.38, 100
42.04, 31
47.28, 2
52.12, 42
60.96, 20
69.10, 19
76.82, 7
84.29, 22

Structure:
Cell lengths 6.0791, 6.0791, 6.0791 Å; angles 60.00, 60.00, 60.00 degrees
Fractional coordinates of all 10 atoms:
Ba1 0.0000 0.0000 0.0000
Sr1 0.5000 0.5000 0.5000
Tb1 0.2500 0.2500 0.2500
Sn1 0.7500 0.7500 0.7500
O1 0.5093 0.5093 0.9907
O2 0.5093 0.9907 0.5093
O3 0.5093 0.9907 0.9907
O4 0.9907 0.5093 0.5093
O5 0.9907 0.5093 0.9907
O6 0.9907 0.9907 0.5093

---

[7]
BaSrZrSnO6: theoretical X-ray powder pattern (a wavelength of 1.5418 Å), based on a crystal structure in the Materials Project, relaxed with PBE.

Largest 10 diffraction maxima, sorted by position, 15 to 90 degrees two-theta:
2θ (°), I (rel.)
18.35, 4
30.19, 100
35.56, 2
37.20, 3
43.22, 32
53.62, 41
62.78, 20
71.23, 18
79.27, 7
87.10, 22

Structure:
Cell lengths 5.9207, 5.9207, 5.9207 Å; angles 60.00, 60.00, 60.00 degrees
Fractional coordinates of all 10 atoms:
Ba1 0.0000 0.0000 0.0000
Sr1 0.5000 0.5000 0.5000
Zr1 0.2500 0.2500 0.2500
Sn1 0.7500 0.7500 0.7500
O1 0.5015 0.5015 0.9985
O2 0.5015 0.9985 0.5015
O3 0.5015 0.9985 0.9985
O4 0.9985 0.5015 0.5015
O5 0.9985 0.5015 0.9985
O6 0.9985 0.9985 0.5015

---

[8]
Ba2Tl2Zn2Sn3O10: theoretical X-ray powder pattern (a wavelength of 1.5418 Å), based on a crystal structure in the Materials Project, relaxed with PBE.

Largest 10 diffraction maxima, sorted by position, 15 to 90 degrees two-theta:
2θ (°), I (rel.)
27.10, 23
27.26, 54
28.73, 55
29.79, 67
30.25, 100
30.45, 49
30.57, 30
37.94, 22
41.98, 38
43.97, 24

Structure:
Cell lengths 4.1192, 4.3127, 19.0935 Å; angles 86.90, 84.17, 89.07 degrees
Fractional coordinates of all 19 atoms:
Ba1 0.0000 0.0000 0.0000
Ba2 0.3056 0.3368 0.3953
Tl1 0.4694 0.4484 0.1385
Tl2 0.9695 0.9010 0.2427
Zn1 0.0344 0.1162 0.7876
Zn2 0.0673 0.2106 0.6022
Sn1 0.5529 0.5164 0.8755
Sn2 0.6689 0.7560 0.6791
Sn3 0.7270 0.8066 0.5179
O1 0.0667 0.4371 0.8582
O2 0.0824 0.3877 0.2751
O3 0.1938 0.8013 0.7234
O4 0.2238 0.8544 0.5430
O5 0.4965 0.5036 0.9818
O6 0.6019 0.0007 0.8523
O7 0.7448 0.8288 0.4134
O8 0.7829 0.3191 0.5242
O9 0.8105 0.2788 0.6942
O10 0.8287 0.9567 0.1283

---

[9]
Ba2YSn3O7: theoretical X-ray powder pattern (a wavelength of 1.5418 Å), based on a crystal structure in the Materials Project, relaxed with PBE.

Largest 10 diffraction maxima, sorted by position, 15 to 90 degrees two-theta:
2θ (°), I (rel.)
29.49, 100
30.25, 81
30.91, 86
37.48, 11
41.19, 31
43.17, 27
52.37, 39
53.62, 34
55.03, 23
61.20, 19

Structure:
Cell lengths 4.1907, 4.3834, 11.9973 Å; angles 90.00, 90.00, 90.00 degrees
Fractional coordinates of all 13 atoms:
Ba1 0.0000 0.0000 0.1728
Ba2 0.0000 0.0000 0.8272
Y1 0.0000 0.0000 0.5000
Sn1 0.5000 0.5000 0.0000
Sn2 0.5000 0.5000 0.3676
Sn3 0.5000 0.5000 0.6324
O1 0.0000 0.5000 0.3784
O2 0.0000 0.5000 0.6216
O3 0.5000 0.0000 0.0000
O4 0.5000 0.0000 0.3767
O5 0.5000 0.0000 0.6233
O6 0.5000 0.5000 0.1946
O7 0.5000 0.5000 0.8054

---

[10]
BaYSn4O7: theoretical X-ray powder pattern (a wavelength of 1.5418 Å), based on a crystal structure in the Materials Project, relaxed with PBE.

Largest 10 diffraction maxima, sorted by position, 15 to 90 degrees two-theta:
2θ (°), I (rel.)
16.96, 20
24.22, 31
24.37, 54
30.23, 100
32.56, 58
37.04, 28
44.83, 29
50.47, 25
56.97, 30
62.87, 24

Structure:
Cell lengths 6.4656, 6.4656, 14.6111 Å; angles 90.00, 90.00, 120.00 degrees
Fractional coordinates of all 26 atoms:
Ba1 0.3333 0.6667 0.0000
Ba2 0.6667 0.3333 0.5000
Y1 0.3333 0.6667 0.4362
Y2 0.6667 0.3333 0.9362
Sn1 0.0000 0.0000 0.4951
Sn2 0.0000 0.0000 0.9951
Sn3 0.1716 0.3432 0.7629
Sn4 0.1716 0.8284 0.7629
Sn5 0.3432 0.1716 0.2629
Sn6 0.6568 0.8284 0.7629
Sn7 0.8284 0.1716 0.2629
Sn8 0.8284 0.6568 0.2629
O1 0.0000 0.0000 0.3548
O2 0.0000 0.0000 0.8548
O3 0.0206 0.5103 0.8505
O4 0.1702 0.3404 0.5258
O5 0.1702 0.8298 0.5258
O6 0.3404 0.1702 0.0258
O7 0.4897 0.5103 0.8505
O8 0.4897 0.9794 0.8505
O9 0.5103 0.0206 0.3505
O10 0.5103 0.4897 0.3505
O11 0.6596 0.8298 0.5258
O12 0.8298 0.1702 0.0258
O13 0.8298 0.6596 0.0258
O14 0.9794 0.4897 0.3505